Tb2Co3B4: calculated powder XRD pattern (a wavelength of 1.5418 Å), based on a GGA-PBE-relaxed structure.
Lines closer than 0.1° are merged.

Structure:
```
data_Tb2Co3B4
_symmetry_space_group_name_H-M 'F m m m'
_symmetry_Int_Tables_number 69
_symmetry_space_group_name_Hall '-F 2 2'
_cell_length_a 4.9022
_cell_length_b 8.2791
_cell_length_c 11.7190
_cell_angle_alpha 90.00
_cell_angle_beta 90.00
_cell_angle_gamma 90.00
loop_
_atom_site_label
_atom_site_type_symbol
_atom_site_fract_x
_atom_site_fract_y
_atom_site_fract_z
Tb1 Tb 0.0000 0.0000 0.1495
Co1 Co 0.0000 0.0000 0.5000
Co2 Co 0.2500 0.2500 0.0000
B1 B 0.0000 0.1667 0.3783
```

Largest 10 diffraction maxima, in order of rising 2θ, 2θ = 15–90°:
2θ/deg, I (rel.), (hkl)
21.47, 28, 0 2 0
22.40, 22, 1 1 1
26.36, 16, 0 2 2
31.21, 100, 1 1 3
37.61, 23, 0 2 4
42.88, 40, 2 2 0
43.74, 19, 0 4 0
44.23, 46, 1 3 3
48.42, 14, 2 0 4
65.09, 18, 2 2 6